1.
This entry pairs a crystal structure of Mg2BiAsAu2 with its simulated powder X-ray diffraction pattern. Radiation: Cu Kα (λ = 1.5418 Å). Structure: a PBE-relaxed structure.
Lines closer than 0.1° are merged.

Crystal structure
```
Mg2BiAsAu2
1.0
11.2548 0.0000 0.0000
0.0000 4.5976 0.0000
-3.7985 0.0000 10.6251
Mg Bi As Au
8 4 4 8
Cartesian
0.0000 0.0000 0.0000 Mg
-0.2657 2.2988 3.9010 Mg
-0.2557 0.0000 7.7620 Mg
3.6854 2.2988 1.4194 Mg
3.6184 0.0000 5.2561 Mg
3.6723 2.2988 9.0846 Mg
7.3358 0.0000 2.7028 Mg
7.3081 2.2988 6.5019 Mg
-2.0903 2.2988 9.2151 Bi
1.6907 2.2988 6.5030 Bi
1.7710 0.0000 10.5927 Bi
9.2788 2.2988 1.2338 Bi
1.8151 0.0000 2.6093 As
5.4825 2.2988 3.9470 As
5.4698 0.0000 7.7681 As
9.1761 0.0000 5.1900 As
0.9451 2.2988 1.4152 Au
0.6794 0.0000 5.0539 Au
0.7611 2.2988 9.2222 Au
4.5630 0.0000 2.7223 Au
4.6024 2.2988 6.4994 Au
4.6619 0.0000 10.3211 Au
8.2166 2.2988 3.9572 Au
8.1643 0.0000 7.7496 Au
```

Most intense lines, 2θ = 15–90°, in order of rising 2θ:
3.754 Å, 2θ 23.7, I 100; 2.300 Å, 2θ 39.2, I 69; 2.296 Å, 2θ 39.2, I 34; 1.962 Å, 2θ 46.3, I 29; 1.958 Å, 2θ 46.4, I 20; 1.627 Å, 2θ 56.6, I 12; 1.494 Å, 2θ 62.1, I 6; 1.491 Å, 2θ 62.3, I 14; 1.330 Å, 2θ 70.9, I 5; 1.327 Å, 2θ 71.0, I 20; 1.325 Å, 2θ 71.1, I 8; 1.252 Å, 2θ 76.0, I 6



2.
This entry pairs a crystal structure of Tl2AsAuBr6 with its simulated powder X-ray diffraction pattern. Radiation: Cu Kα (λ = 1.5418 Å). Structure: a PBE-relaxed structure.
Lines closer than 0.1° are merged.

Crystal structure
```
Tl2AsAuBr6
1.0
0.0000 5.3879 5.3879
5.3879 0.0000 5.3879
5.3879 5.3879 0.0000
Tl As Au Br
2 1 1 6
Cartesian
2.6940 2.6940 2.6940 Tl
8.0819 8.0819 8.0819 Tl
0.0000 0.0000 0.0000 As
5.3879 5.3879 5.3879 Au
5.3879 5.3879 2.6554 Br
5.3879 2.6554 5.3879 Br
8.1204 5.3879 5.3879 Br
2.6554 5.3879 5.3879 Br
5.3879 8.1204 5.3879 Br
5.3879 5.3879 8.1204 Br
```

Most intense lines, 2θ = 15–90°, in order of rising 2θ:
3.810 Å, 2θ 23.3, I 92; 3.111 Å, 2θ 28.7, I 55; 2.694 Å, 2θ 33.3, I 100; 2.200 Å, 2θ 41.0, I 44; 1.905 Å, 2θ 47.7, I 72; 1.704 Å, 2θ 53.8, I 20; 1.625 Å, 2θ 56.7, I 24; 1.555 Å, 2θ 59.4, I 25; 1.440 Å, 2θ 64.7, I 23; 1.270 Å, 2θ 74.8, I 12; 1.205 Å, 2θ 79.6, I 33; 1.100 Å, 2θ 89.0, I 26



3.
This entry pairs a crystal structure of Y4AsAuC2 with its simulated powder X-ray diffraction pattern. Radiation: Cu Kα (λ = 1.5418 Å). Structure: a PBE-relaxed structure.
Lines closer than 0.1° are merged.

Crystal structure
```
Y4AsAuC2
1.0
3.7255 0.0000 0.0000
-1.8628 3.2264 0.0000
0.0000 0.0000 13.7894
Y As Au C
4 1 1 2
Cartesian
0.0000 0.0000 1.9880 Y
0.0000 0.0000 11.8013 Y
0.0000 2.1509 4.6828 Y
0.0000 2.1509 9.1066 Y
0.0000 2.1509 0.0000 As
0.0000 0.0000 6.8947 Au
1.8628 1.0755 3.4511 C
1.8628 1.0755 10.3382 C
```

Most intense lines, 2θ = 15–90°, in order of rising 2θ:
3.226 Å, 2θ 27.6, I 29; 2.922 Å, 2θ 30.6, I 13; 2.641 Å, 2θ 33.9, I 100; 2.298 Å, 2θ 39.2, I 12; 2.096 Å, 2θ 43.2, I 10; 1.872 Å, 2θ 48.6, I 12; 1.863 Å, 2θ 48.9, I 26; 1.522 Å, 2θ 60.9, I 23; 1.447 Å, 2θ 64.4, I 16; 1.384 Å, 2θ 67.7, I 8; 1.265 Å, 2θ 75.1, I 4; 1.179 Å, 2θ 81.7, I 18



4.
This entry pairs a crystal structure of Cs4CuAs2Au with its simulated powder X-ray diffraction pattern. Radiation: Cu Kα (λ = 1.5418 Å). Structure: a PBE-relaxed structure.
Lines closer than 0.1° are merged.

Crystal structure
```
Cs4CuAs2Au
1.0
7.8021 0.0000 0.0000
0.0000 11.2422 0.0000
-0.1420 0.0000 6.7571
Cs Cu As Au
8 2 4 2
Cartesian
1.1829 1.9032 1.6881 Cs
1.1829 9.3390 1.6881 Cs
2.5761 3.7179 5.0690 Cs
2.5761 7.5243 5.0690 Cs
5.0839 3.7179 1.6881 Cs
5.0839 7.5243 1.6881 Cs
6.4772 1.9032 5.0690 Cs
6.4772 9.3390 5.0690 Cs
0.0000 5.6211 0.0000 Cu
3.9010 0.0000 0.0000 Cu
1.7347 5.6211 1.6009 As
2.0243 0.0000 5.1562 As
5.6357 0.0000 1.6009 As
5.9254 5.6211 5.1562 As
-0.0710 5.6211 3.3786 Au
3.8300 0.0000 3.3786 Au
```

Most intense lines, 2θ = 15–90°, in order of rising 2θ:
3.378 Å, 2θ 26.4, I 84; 3.348 Å, 2θ 26.6, I 43; 3.032 Å, 2θ 29.5, I 32; 3.010 Å, 2θ 29.7, I 100; 2.968 Å, 2θ 30.1, I 19; 2.915 Å, 2θ 30.7, I 17; 2.896 Å, 2θ 30.9, I 20; 2.581 Å, 2θ 34.8, I 19; 2.531 Å, 2θ 35.5, I 35; 1.882 Å, 2θ 48.4, I 26; 1.820 Å, 2θ 50.1, I 23; 1.792 Å, 2θ 51.0, I 24



5.
This entry pairs a crystal structure of Cs3As4HAu2O14 with its simulated powder X-ray diffraction pattern. Radiation: Cu Kα (λ = 1.5418 Å). Structure: a PBE-relaxed structure.
Lines closer than 0.1° are merged.

Crystal structure
```
Cs3As4HAu2O14
1.0
5.8425 0.0000 0.0000
-2.8019 5.4028 0.0000
-2.4927 -1.7198 12.9136
Cs As H Au O
3 4 1 2 14
Cartesian
0.0000 0.0000 0.0000 Cs
-2.6051 3.6737 7.3837 Cs
3.1529 0.0093 5.5299 Cs
0.2492 1.8548 4.3820 As
0.2446 3.5546 1.8384 As
0.3032 0.1284 11.0752 As
0.2986 1.8283 8.5316 As
1.5203 2.7014 0.0000 H
3.2426 0.2472 9.4253 Au
-2.6947 3.4358 3.4883 Au
-1.0052 -0.7732 10.4394 O
-1.1245 0.9757 8.0459 O
-1.1570 2.7480 4.8283 O
-1.2142 4.3422 2.2240 O
0.2369 0.2703 4.9047 O
0.2582 1.9087 2.5662 O
0.4346 3.2219 0.1676 O
0.1132 0.4612 12.7460 O
0.2896 1.7743 10.3474 O
0.3110 3.4127 8.0088 O
1.7621 -0.6592 10.6896 O
1.7049 0.9350 8.0853 O
1.6723 2.7073 4.8677 O
1.5531 4.4562 2.4742 O
```

Most intense lines, 2θ = 15–90°, in order of rising 2θ:
5.196 Å, 2θ 17.1, I 53; 4.731 Å, 2θ 18.8, I 64; 3.878 Å, 2θ 22.9, I 68; 3.598 Å, 2θ 24.7, I 35; 3.158 Å, 2θ 28.3, I 40; 3.126 Å, 2θ 28.6, I 92; 3.052 Å, 2θ 29.3, I 89; 3.031 Å, 2θ 29.5, I 49; 2.994 Å, 2θ 29.8, I 48; 2.963 Å, 2θ 30.2, I 65; 2.919 Å, 2θ 30.6, I 100; 1.820 Å, 2θ 50.1, I 28



6.
This entry pairs a crystal structure of CsNaAsAu with its simulated powder X-ray diffraction pattern. Radiation: Cu Kα (λ = 1.5418 Å). Structure: a PBE-relaxed structure.
Lines closer than 0.1° are merged.

Crystal structure
```
CsNaAsAu
1.0
6.5767 0.0000 0.0000
0.0000 7.6860 0.0000
0.0000 0.0000 10.0172
Cs Na As Au
4 4 4 4
Cartesian
1.6442 1.2006 0.0000 Cs
1.6442 5.0436 5.0086 Cs
4.9325 2.6423 5.0086 Cs
4.9325 6.4853 0.0000 Cs
1.6442 1.2271 6.4920 Na
1.6442 5.0701 1.4834 Na
4.9325 2.6159 1.4834 Na
4.9325 6.4589 6.4920 Na
1.6442 1.8891 3.4683 As
1.6442 5.7321 8.4769 As
4.9325 1.9538 8.4769 As
4.9325 5.7968 3.4683 As
0.0000 0.0000 3.2093 Au
0.0000 3.8430 8.2179 Au
3.2883 0.0000 3.2093 Au
3.2883 3.8430 8.2179 Au
```

Most intense lines, 2θ = 15–90°, in order of rising 2θ:
5.009 Å, 2θ 17.7, I 69; 3.318 Å, 2θ 26.9, I 27; 3.063 Å, 2θ 29.2, I 82; 3.049 Å, 2θ 29.3, I 29; 2.894 Å, 2θ 30.9, I 100; 2.776 Å, 2θ 32.2, I 65; 2.749 Å, 2θ 32.6, I 45; 2.500 Å, 2θ 35.9, I 82; 2.482 Å, 2θ 36.2, I 43; 2.236 Å, 2θ 40.3, I 50; 1.729 Å, 2θ 53.0, I 51; 1.670 Å, 2θ 55.0, I 38



7.
This entry pairs a crystal structure of CsAsAu2O4 with its simulated powder X-ray diffraction pattern. Radiation: Cu Kα (λ = 1.5418 Å). Structure: a PBE-relaxed structure.
Lines closer than 0.1° are merged.

Crystal structure
```
CsAsAu2O4
1.0
0.0000 6.0422 4.8564
5.6581 0.0000 4.8564
5.6581 6.0422 0.0000
Cs As Au O
2 2 4 8
Cartesian
0.0000 0.0000 0.0000 Cs
2.8290 3.0211 2.4282 Cs
5.6581 6.0422 3.6387 As
8.4871 9.0633 6.0669 As
6.9485 3.1990 3.8159 Au
7.1967 6.2201 6.2441 Au
4.3677 8.8854 3.8159 Au
4.1194 5.8643 6.2441 Au
6.8804 6.7910 2.7831 O
4.4358 5.2934 2.7831 O
6.3404 4.8641 4.8804 O
4.0513 2.2723 5.2113 O
4.9757 7.2203 4.8804 O
7.2648 9.8121 5.2113 O
7.8047 7.8852 7.3087 O
9.1695 10.2414 7.3087 O
```

Most intense lines, 2θ = 15–90°, in order of rising 2θ:
4.130 Å, 2θ 21.5, I 19; 3.785 Å, 2θ 23.5, I 44; 3.685 Å, 2θ 24.2, I 22; 3.376 Å, 2θ 26.4, I 66; 3.017 Å, 2θ 29.6, I 100; 2.649 Å, 2θ 33.8, I 35; 2.463 Å, 2θ 36.5, I 29; 2.266 Å, 2θ 39.8, I 66; 1.992 Å, 2θ 45.5, I 15; 1.909 Å, 2θ 47.6, I 20; 1.892 Å, 2θ 48.1, I 17; 1.555 Å, 2θ 59.5, I 18